Structure and simulated powder XRD pattern of Li3V3P4O16 (the PBE+U geometry in the Materials Project; Cu Kα).

Atomic structure:
Unit cell a=10.1095 b=10.1095 c=10.6013 alpha=91.53 beta=91.53 gamma=37.27
Atoms (fractional coordinates):
Li: 0.0255 0.9745 0.7500
Li: 0.3379 0.5263 0.4489
Li: 0.4737 0.6621 0.0511
Li: 0.5263 0.3379 0.9489
Li: 0.6621 0.4737 0.5511
Li: 0.9745 0.0255 0.2500
V: 0.0000 0.5000 0.0000
V: 0.1407 0.1712 0.7432
V: 0.1712 0.1407 0.2432
V: 0.5000 0.0000 0.5000
V: 0.8288 0.8593 0.7568
V: 0.8593 0.8288 0.2568
P: 0.0812 0.7553 0.0033
P: 0.2447 0.9188 0.4967
P: 0.2828 0.3189 0.7483
P: 0.3189 0.2828 0.2483
P: 0.6811 0.7172 0.7517
P: 0.7172 0.6811 0.2517
P: 0.7553 0.0812 0.5033
P: 0.9188 0.2447 0.9967
O: 0.0338 0.1235 0.8685
O: 0.0840 0.0872 0.6070
O: 0.0872 0.0840 0.1070
O: 0.1235 0.0338 0.3685
O: 0.1340 0.5546 0.7216
O: 0.1491 0.5526 0.9976
O: 0.1830 0.5122 0.2868
O: 0.1870 0.2997 0.8528
O: 0.2200 0.2733 0.1357
O: 0.2733 0.2200 0.6357
O: 0.2851 0.6746 0.9837
O: 0.2997 0.1870 0.3528
O: 0.3254 0.7149 0.5163
O: 0.4454 0.8660 0.7784
O: 0.4474 0.8509 0.5024
O: 0.4878 0.8170 0.2132
O: 0.5122 0.1830 0.7868
O: 0.5526 0.1491 0.4976
O: 0.5546 0.1340 0.2216
O: 0.6746 0.2851 0.4837
O: 0.7003 0.8130 0.6472
O: 0.7149 0.3254 0.0163
O: 0.7267 0.7800 0.3643
O: 0.7800 0.7267 0.8643
O: 0.8130 0.7003 0.1472
O: 0.8170 0.4878 0.7132
O: 0.8509 0.4474 0.0024
O: 0.8660 0.4454 0.2784
O: 0.8765 0.9662 0.6315
O: 0.9128 0.9160 0.8930
O: 0.9160 0.9128 0.3930
O: 0.9662 0.8765 0.1315

Top 10 peaks for 2θ from 10° to 90°, in order of rising 2θ:
two_theta	d/Å	I_rel
14.47	6.122	78
16.66	5.320	100
16.79	5.280	71
18.91	4.692	57
19.37	4.582	34
27.06	3.295	29
32.34	2.768	40
32.46	2.758	79
33.17	2.701	27
33.83	2.649	38